# 1
This entry pairs a crystal structure of LaTb2Pr9 with its computed powder X-ray diffraction pattern. Radiation: Cu Kα (λ = 1.5418 Å). Structure: a cell relaxed with PBE.

Structural model:
```
data_LaTb2Pr9
_cell_length_a 5.219
_cell_length_b 5.219
_cell_length_c 15.682
_cell_angle_alpha 90.00
_cell_angle_beta 90.00
_cell_angle_gamma 90.00
_symmetry_space_group_name_H-M 'P 4/m m m'
_symmetry_Int_Tables_number 123
_symmetry_space_group_name_Hall '-P 4 2'
loop_
_atom_site_label
_atom_site_fract_x
_atom_site_fract_y
_atom_site_fract_z
_atom_site_occupancy
La1 0.000 0.000 0.000 1
Tb1 0.000 0.000 0.334 1
Pr1 0.000 0.500 0.170 1
Pr2 0.000 0.500 0.500 1
Pr3 0.500 0.500 0.000 1
Pr4 0.500 0.500 0.336 1
```

Largest 10 diffraction maxima, most intense first, 2θ = 15–90°:
2θ/deg  I_rel  h k l
29.63  100.0  1 1 3
34.35  50.7  2 0 0
58.63  43.3  3 1 3
49.36  36.4  2 2 0
80.11  17.5  3 3 3
61.51  12.5  2 2 6
82.61  10.8  4 0 6
82.68  5.4  4 2 0
72.43  3.9  4 0 0
72.30  1.9  0 0 12

---

# 2
This entry pairs a crystal structure of NaSc with its computed powder X-ray diffraction pattern. Radiation: Cu Kα (λ = 1.5418 Å). Structure: a cell relaxed with PBE.

Structural model:
```
data_NaSc
_cell_length_a 12.222
_cell_length_b 12.222
_cell_length_c 3.203
_cell_angle_alpha 90.00
_cell_angle_beta 90.00
_cell_angle_gamma 90.00
_symmetry_space_group_name_H-M 'P 4/m'
_symmetry_Int_Tables_number 83
_symmetry_space_group_name_Hall '-P 4'
loop_
_atom_site_label
_atom_site_fract_x
_atom_site_fract_y
_atom_site_fract_z
_atom_site_occupancy
Na1 0.059 0.361 0.000 1
Na2 0.137 0.833 0.500 1
Sc1 0.193 0.569 0.500 1
Sc2 0.344 0.401 0.000 1
```

Largest 12 diffraction maxima, most intense first, 2θ = 15–90°:
2θ/deg  I_rel  h k l
35.66  100.0  3 0 1
32.77  96.8  4 2 0
32.40  63.1  2 1 1
29.23  38.6  4 0 0
36.77  38.5  5 0 0
41.51  38.2  1 4 1
31.04  25.0  3 3 0
36.43  23.3  1 3 1
46.75  22.5  3 4 1
20.55  21.0  2 2 0
67.83  19.2  4 2 2
56.09  18.9  5 4 1

---

# 3
This entry pairs a crystal structure of Nd2Ga3Au with its computed powder X-ray diffraction pattern. Radiation: Cu Kα (λ = 1.5418 Å). Structure: a cell relaxed with PBE.

Structural model:
```
data_Nd2Ga3Au
_cell_length_a 7.850
_cell_length_b 8.962
_cell_length_c 15.558
_cell_angle_alpha 90.00
_cell_angle_beta 90.00
_cell_angle_gamma 90.00
_symmetry_space_group_name_H-M 'F m m m'
_symmetry_Int_Tables_number 69
_symmetry_space_group_name_Hall '-F 2 2'
loop_
_atom_site_label
_atom_site_fract_x
_atom_site_fract_y
_atom_site_fract_z
_atom_site_occupancy
Nd1 0.241 0.000 0.000 1
Nd2 0.250 0.250 0.250 1
Ga1 0.000 0.000 0.338 1
Ga2 0.000 0.246 0.418 1
Au1 0.000 0.000 0.169 1
```

Largest 12 diffraction maxima, most intense first, 2θ = 15–90°:
2θ/deg  I_rel  h k l
32.43  100.0  2 2 2
40.21  56.2  0 4 0
62.93  29.4  4 4 0
52.57  25.4  2 0 8
68.15  15.7  2 4 8
46.26  12.4  4 0 0
22.84  11.6  1 1 3
76.89  8.0  6 2 2
68.26  7.9  2 6 2
73.12  6.3  0 6 6
16.05  5.4  1 1 1
86.79  4.1  0 4 12

---

# 4
This entry pairs a crystal structure of Ce5PrRu4 with its computed powder X-ray diffraction pattern. Radiation: Cu Kα (λ = 1.5418 Å). Structure: a cell relaxed with PBE.

Structural model:
```
data_Ce5PrRu4
_cell_length_a 7.993
_cell_length_b 9.696
_cell_length_c 6.809
_cell_angle_alpha 90.00
_cell_angle_beta 90.00
_cell_angle_gamma 90.00
_symmetry_space_group_name_H-M 'P m m n'
_symmetry_Int_Tables_number 59
loop_
_symmetry_equiv_pos_as_xyz
'x,y,z'
'-x,-y,-z'
'-x+1/2,-y+1/2,z'
'x+1/2,y+1/2,-z'
'x+1/2,-y,-z'
'-x+1/2,y,z'
'-x,y+1/2,-z'
'x,-y+1/2,z'
loop_
_atom_site_label
_atom_site_fract_x
_atom_site_fract_y
_atom_site_fract_z
_atom_site_occupancy
Ce1 0.017 0.062 0.222 1
Ce2 0.250 0.750 0.389 1
Pr1 0.250 0.250 0.736 1
Ru1 0.073 0.750 0.999 1
Ru2 0.250 0.503 0.481 1
```

Largest 12 diffraction maxima, most intense first, 2θ = 15–90°:
2θ/deg  I_rel  h k l
39.43  100.0  2 2 2
30.62  81.4  0 3 1
27.46  76.3  2 1 1
25.85  70.3  2 0 1
44.05  35.4  0 2 3
55.75  32.4  4 3 1
54.28  32.4  2 5 1
29.98  25.4  1 1 2
34.61  24.5  2 0 2
45.39  22.7  4 0 0
37.09  22.2  0 4 0
45.76  20.1  2 4 1

---

# 5
This entry pairs a crystal structure of Tm2HfPb with its computed powder X-ray diffraction pattern. Radiation: Cu Kα (λ = 1.5418 Å). Structure: a cell relaxed with PBE.

Structural model:
```
data_Tm2HfPb
_cell_length_a 3.4464
_cell_length_b 3.4464
_cell_length_c 31.5047
_cell_angle_alpha 90.00
_cell_angle_beta 90.00
_cell_angle_gamma 120.00
_symmetry_space_group_name_H-M 'R -3 m'
_symmetry_Int_Tables_number 166
_symmetry_space_group_name_Hall '-R 3 2"'
loop_
_atom_site_label
_atom_site_fract_x
_atom_site_fract_y
_atom_site_fract_z
_atom_site_occupancy
Tm1 0.0000 0.0000 0.2483 1
Hf1 0.0000 0.0000 0.5000 1
Pb1 0.0000 0.0000 0.0000 1
```

Largest 12 diffraction maxima, most intense first, 2θ = 15–90°:
2θ/deg  I_rel  h k l
32.07  100.0  1 0 4
37.82  64.3  0 1 8
34.15  28.1  0 0 12
64.71  27.1  1 1 12
53.15  24.5  1 1 0
55.94  20.7  1 0 16
63.44  14.4  0 2 4
87.32  12.6  2 1 4
67.07  12.2  2 0 8
67.20  11.9  0 1 20
80.81  7.3  0 2 16
71.93  3.2  0 0 24

---

# 6
This entry pairs a crystal structure of K2AlPbO4 with its computed powder X-ray diffraction pattern. Radiation: Cu Kα (λ = 1.5418 Å). Structure: a cell relaxed with PBE.

Structural model:
```
data_K2AlPbO4
_cell_length_a 5.909
_cell_length_b 5.909
_cell_length_c 8.344
_cell_angle_alpha 90.00
_cell_angle_beta 90.00
_cell_angle_gamma 90.00
_symmetry_space_group_name_H-M 'I -4'
_symmetry_Int_Tables_number 82
_symmetry_space_group_name_Hall 'I -4'
loop_
_atom_site_label
_atom_site_fract_x
_atom_site_fract_y
_atom_site_fract_z
_atom_site_occupancy
K1 0.000 0.000 0.000 1
K2 0.000 0.500 0.250 1
Al1 0.000 0.500 0.750 1
Pb1 0.000 0.000 0.500 1
O1 0.152 0.288 0.639 1
```

Largest 12 diffraction maxima, most intense first, 2θ = 15–90°:
2θ/deg  I_rel  h k l
30.27  100.0  1 1 2
18.40  66.5  1 0 1
53.77  43.5  2 0 4
35.65  35.5  1 2 1
21.27  33.9  1 1 0
87.37  21.2  1 3 6
48.76  20.6  1 3 0
47.45  19.9  2 1 3
43.32  18.9  2 2 0
57.32  15.2  2 3 1
37.29  14.2  2 0 2
66.19  14.0  4 1 1

---

Repeat the fourth record exactly.
This entry pairs a crystal structure of Ce5PrRu4 with its computed powder X-ray diffraction pattern. Radiation: Cu Kα (λ = 1.5418 Å). Structure: a cell relaxed with PBE.

Structural model:
```
data_Ce5PrRu4
_cell_length_a 7.993
_cell_length_b 9.696
_cell_length_c 6.809
_cell_angle_alpha 90.00
_cell_angle_beta 90.00
_cell_angle_gamma 90.00
_symmetry_space_group_name_H-M 'P m m n'
_symmetry_Int_Tables_number 59
loop_
_symmetry_equiv_pos_as_xyz
'x,y,z'
'-x,-y,-z'
'-x+1/2,-y+1/2,z'
'x+1/2,y+1/2,-z'
'x+1/2,-y,-z'
'-x+1/2,y,z'
'-x,y+1/2,-z'
'x,-y+1/2,z'
loop_
_atom_site_label
_atom_site_fract_x
_atom_site_fract_y
_atom_site_fract_z
_atom_site_occupancy
Ce1 0.017 0.062 0.222 1
Ce2 0.250 0.750 0.389 1
Pr1 0.250 0.250 0.736 1
Ru1 0.073 0.750 0.999 1
Ru2 0.250 0.503 0.481 1
```

Largest 12 diffraction maxima, most intense first, 2θ = 15–90°:
2θ/deg  I_rel  h k l
39.43  100.0  2 2 2
30.62  81.4  0 3 1
27.46  76.3  2 1 1
25.85  70.3  2 0 1
44.05  35.4  0 2 3
55.75  32.4  4 3 1
54.28  32.4  2 5 1
29.98  25.4  1 1 2
34.61  24.5  2 0 2
45.39  22.7  4 0 0
37.09  22.2  0 4 0
45.76  20.1  2 4 1

---

Question: Number 6 is which compound?
Answer: K2AlPbO4